This entry pairs a crystal structure of Ce3NbS3O4 with its calculated PXRD pattern. Radiation: CuKα. Structure: a structure optimized by DFT (GGA-PBE).

Atomic structure:
a b c (Å): 7.0330 14.5624 7.5641
angles (deg): 90.00 90.00 90.00
Positions (direct):
Ce  0.2120  0.1570  0.2467
Ce  0.2120  0.1570  0.7533
Ce  0.2189  0.9195  0.5000
Ce  0.2811  0.4195  0.5000
Ce  0.2880  0.6570  0.2467
Ce  0.2880  0.6570  0.7533
Ce  0.7120  0.3430  0.2467
Ce  0.7120  0.3430  0.7533
Ce  0.7189  0.5805  0.5000
Ce  0.7811  0.0805  0.5000
Ce  0.7880  0.8430  0.2467
Ce  0.7880  0.8430  0.7533
Nb  0.2487  0.4297  0.0000
Nb  0.2513  0.9297  0.0000
Nb  0.7487  0.0703  0.0000
Nb  0.7513  0.5703  0.0000
S  0.0000  0.5000  0.2466
S  0.0000  0.5000  0.7534
S  0.0066  0.7253  0.5000
S  0.0271  0.2916  0.0000
S  0.4729  0.7916  0.0000
S  0.4934  0.2253  0.5000
S  0.5000  0.0000  0.2466
S  0.5000  0.0000  0.7534
S  0.5066  0.7747  0.5000
S  0.5271  0.2084  0.0000
S  0.9729  0.7084  0.0000
S  0.9934  0.2747  0.5000
O  0.1250  0.8856  0.2089
O  0.1250  0.8856  0.7911
O  0.1333  0.0727  0.5000
O  0.1820  0.0595  0.0000
O  0.3180  0.5595  0.0000
O  0.3667  0.5727  0.5000
O  0.3750  0.3856  0.2089
O  0.3750  0.3856  0.7911
O  0.6250  0.6144  0.2089
O  0.6250  0.6144  0.7911
O  0.6333  0.4273  0.5000
O  0.6820  0.4405  0.0000
O  0.8180  0.9405  0.0000
O  0.8667  0.9273  0.5000
O  0.8750  0.1144  0.2089
O  0.8750  0.1144  0.7911

Principal peaks in the range 15 to 90 degrees two-theta, low angle first:
24.5°, I 13; 25.3°, I 34; 27.6°, I 56; 29.5°, I 100; 35.5°, I 23; 37.0°, I 36; 44.3°, I 31; 46.0°, I 12; 47.3°, I 25; 48.1°, I 18; 51.8°, I 21; 56.4°, I 15